(1)
Calculated powder diffraction line list of YPd2N for λ = 1.5418 Å (Cu Kα), from a crystal structure in Alexandria, relaxed with GGA-PBE.

Crystal structure
```
YPd2N
1.0
-2.486 2.486 6.240
2.486 -2.486 6.240
2.486 2.486 -6.240
Y Pd N
2 4 2
Cartesian
0.000 0.000 0.000
0.000 2.486 3.120
1.243 -0.519 4.680
1.967 1.243 1.560
1.243 3.005 -1.560
0.519 1.243 7.800
2.486 0.000 3.120
0.000 0.000 6.240
```

Top 10 peaks for 2θ from 10° to 90°, by angle:
| 2theta | d [Å] | Rel. int. |
| --- | --- | --- |
| 28.0 | 3.191 | 76.5 |
| 29.2 | 3.063 | 100.0 |
| 39.0 | 2.310 | 29.3 |
| 40.4 | 2.231 | 28.3 |
| 41.2 | 2.189 | 83.1 |
| 46.3 | 1.961 | 22.9 |
| 46.7 | 1.944 | 31.3 |
| 51.0 | 1.790 | 20.0 |
| 66.6 | 1.404 | 17.5 |
| 67.3 | 1.391 | 19.1 |

=====

(2)
Calculated powder diffraction line list of Ca2BiSe4 for λ = 1.5418 Å (Cu Kα), from a crystal structure in Alexandria, relaxed with GGA-PBE.

Crystal structure
```
Ca2BiSe4
1.0
-4.417 4.417 4.588
4.417 -4.417 4.588
4.417 4.417 -4.588
Ca Bi Se
4 2 8
Cartesian
2.208 1.156 -1.147
3.261 -2.208 5.735
2.208 3.261 3.441
1.156 6.625 1.147
4.417 0.000 2.294
0.000 0.000 4.588
5.001 1.533 -0.497
2.884 3.832 -2.791
1.533 0.584 1.797
1.533 3.832 0.497
2.884 0.584 5.084
5.001 2.884 2.791
-0.584 2.884 4.091
-0.584 1.533 7.378
```

Top 10 peaks for 2θ from 10° to 90°, by angle:
| 2theta | d [Å] | Rel. int. |
| --- | --- | --- |
| 13.9 | 6.364 | 67.6 |
| 20.1 | 4.417 | 37.3 |
| 24.5 | 3.628 | 34.6 |
| 30.9 | 2.890 | 97.1 |
| 31.9 | 2.804 | 94.8 |
| 32.0 | 2.793 | 31.9 |
| 37.7 | 2.386 | 100.0 |
| 38.0 | 2.367 | 60.5 |
| 44.5 | 2.036 | 21.0 |
| 48.0 | 1.896 | 21.3 |

=====

(3)
Calculated powder diffraction line list of MgZn4Au for λ = 1.5418 Å (Cu Kα), from a crystal structure in Alexandria, relaxed with GGA-PBE.

Crystal structure
```
MgZn4Au
1.0
1.685 -7.859 0.000
1.685 7.859 0.000
0.000 0.000 7.740
Mg Zn Au
2 8 2
Cartesian
1.685 6.177 5.805
1.685 -6.177 1.935
1.685 6.776 1.935
1.685 2.585 4.204
1.685 2.585 7.406
1.685 0.000 0.000
1.685 0.000 3.870
1.685 -2.585 0.334
1.685 -2.585 3.536
1.685 -6.776 5.805
1.685 3.929 1.935
1.685 -3.929 5.805
```

Top 10 peaks for 2θ from 10° to 90°, by angle:
| 2theta | d [Å] | Rel. int. |
| --- | --- | --- |
| 11.3 | 7.859 | 99.1 |
| 25.7 | 3.472 | 40.5 |
| 29.5 | 3.032 | 73.4 |
| 33.7 | 2.662 | 38.6 |
| 35.8 | 2.509 | 66.7 |
| 41.0 | 2.204 | 84.7 |
| 41.6 | 2.169 | 100.0 |
| 44.6 | 2.031 | 68.1 |
| 47.0 | 1.935 | 30.1 |
| 70.8 | 1.331 | 39.8 |

=====

(4)
Calculated powder diffraction line list of AgMoRu4 for λ = 1.5418 Å (Cu Kα), from a crystal structure in Alexandria, relaxed with GGA-PBE.

Crystal structure
```
AgMoRu4
1.0
0.000 3.595 3.595
3.595 0.000 3.595
3.595 3.595 0.000
Ag Mo Ru
1 1 4
Cartesian
0.000 0.000 0.000
5.392 5.392 5.392
2.696 2.696 2.696
4.494 4.494 2.696
4.494 2.696 4.494
2.696 4.494 4.494
```

Top 10 peaks for 2θ from 10° to 90°, by angle:
| 2theta | d [Å] | Rel. int. |
| --- | --- | --- |
| 21.4 | 4.151 | 5.4 |
| 35.3 | 2.542 | 28.1 |
| 41.7 | 2.168 | 100.0 |
| 43.6 | 2.076 | 39.5 |
| 50.8 | 1.797 | 4.6 |
| 63.4 | 1.468 | 9.6 |
| 67.7 | 1.384 | 30.2 |
| 74.7 | 1.271 | 26.2 |
| 85.4 | 1.137 | 4.2 |
| 89.4 | 1.096 | 11.1 |

=====

(5)
Calculated powder diffraction line list of GaSeCl for λ = 1.5418 Å (Cu Kα), from a crystal structure in Alexandria, relaxed with GGA-PBE.

Crystal structure
```
GaSeCl
1.0
3.855 0.000 0.000
0.000 8.071 0.000
0.000 0.000 5.609
Ga Se Cl
2 2 2
Cartesian
0.000 0.932 0.000
1.927 7.139 2.804
0.000 6.892 1.260
1.927 1.178 4.064
0.000 2.704 1.246
1.927 5.367 4.051
```

Top 10 peaks for 2θ from 10° to 90°, by angle:
| 2theta | d [Å] | Rel. int. |
| --- | --- | --- |
| 11.0 | 8.071 | 100.0 |
| 19.3 | 4.606 | 23.3 |
| 27.2 | 3.276 | 51.4 |
| 28.1 | 3.177 | 70.3 |
| 30.2 | 2.956 | 23.4 |
| 41.4 | 2.183 | 14.9 |
| 45.9 | 1.977 | 51.7 |
| 47.2 | 1.927 | 13.3 |
| 53.8 | 1.703 | 14.8 |
| 55.3 | 1.661 | 13.1 |

=====

(6)
Calculated powder diffraction line list of Ac5La5Pb6 for λ = 1.5418 Å (Cu Kα), from a crystal structure in Alexandria, relaxed with GGA-PBE.

Crystal structure
```
Ac5La5Pb6
1.0
7.132 0.000 0.000
0.000 8.484 4.922
0.000 -8.484 4.922
Ac La Pb
5 5 6
Cartesian
0.000 0.000 0.000
0.000 -2.053 6.234
0.000 2.053 6.234
3.566 -2.059 8.634
3.566 2.059 8.634
1.793 -2.830 2.509
1.793 2.830 2.509
3.566 0.000 5.001
5.340 -2.830 2.509
5.340 2.830 2.509
0.000 -5.096 4.472
0.000 0.000 3.517
0.000 5.096 4.472
3.566 0.000 1.547
3.566 -3.315 5.462
3.566 3.315 5.462
```

Top 10 peaks for 2θ from 10° to 90°, by angle:
| 2theta | d [Å] | Rel. int. |
| --- | --- | --- |
| 25.0 | 3.566 | 38.6 |
| 27.7 | 3.218 | 19.1 |
| 30.5 | 2.933 | 100.0 |
| 30.6 | 2.926 | 48.1 |
| 31.0 | 2.885 | 80.0 |
| 31.5 | 2.838 | 29.8 |
| 40.2 | 2.242 | 14.4 |
| 47.6 | 1.911 | 44.6 |
| 60.2 | 1.537 | 16.8 |
| 61.4 | 1.510 | 15.3 |

=====

(7)
Calculated powder diffraction line list of Na8B13C3 for λ = 1.5418 Å (Cu Kα), from a crystal structure in Alexandria, relaxed with GGA-PBE.

Crystal structure
```
Na8B13C3
1.0
2.865 -8.662 0.000
2.865 8.662 0.000
0.000 0.000 5.232
Na B C
8 13 3
Cartesian
2.865 6.512 0.000
1.429 2.148 2.614
1.429 -2.148 2.614
2.865 2.171 0.000
2.865 -2.171 0.000
4.300 2.148 2.614
4.300 -2.148 2.614
2.865 -6.512 0.000
0.000 0.000 1.809
0.000 0.000 3.492
1.432 4.331 0.937
1.432 4.331 4.436
2.865 4.323 3.321
1.450 0.000 0.798
1.509 0.000 4.308
1.432 -4.331 0.937
1.432 -4.331 4.436
2.865 0.000 1.896
4.221 0.000 4.308
4.280 0.000 0.798
2.865 -4.323 3.321
2.865 4.326 1.765
2.865 0.000 3.464
2.865 -4.326 1.765
```

Top 10 peaks for 2θ from 10° to 90°, by angle:
| 2theta | d [Å] | Rel. int. |
| --- | --- | --- |
| 34.3 | 2.616 | 12.3 |
| 35.7 | 2.513 | 16.9 |
| 40.3 | 2.239 | 48.3 |
| 41.6 | 2.173 | 100.0 |
| 41.7 | 2.165 | 36.8 |
| 56.1 | 1.640 | 9.6 |
| 62.3 | 1.490 | 17.8 |
| 76.0 | 1.252 | 19.8 |
| 77.8 | 1.227 | 17.1 |
| 79.4 | 1.207 | 9.8 |

=====

(8)
Calculated powder diffraction line list of K3MgCu2F9 for λ = 1.5418 Å (Cu Kα), from a crystal structure in Alexandria, relaxed with GGA-PBE.

Crystal structure
```
K3MgCu2F9
1.0
4.060 0.000 0.000
0.000 4.060 0.000
0.000 0.000 12.235
K Mg Cu F
3 1 2 9
Cartesian
0.000 0.000 0.000
0.000 0.000 4.066
0.000 0.000 8.169
2.030 2.030 6.118
2.030 2.030 2.042
2.030 2.030 10.193
0.000 2.030 2.034
0.000 2.030 6.118
0.000 2.030 10.201
2.030 0.000 2.034
2.030 0.000 6.118
2.030 0.000 10.201
2.030 2.030 0.000
2.030 2.030 4.101
2.030 2.030 8.134
```

Top 10 peaks for 2θ from 10° to 90°, by angle:
| 2theta | d [Å] | Rel. int. |
| --- | --- | --- |
| 21.9 | 4.066 | 24.1 |
| 31.1 | 2.875 | 100.0 |
| 38.3 | 2.348 | 12.4 |
| 44.4 | 2.039 | 23.9 |
| 44.6 | 2.030 | 47.0 |
| 55.3 | 1.663 | 12.1 |
| 55.4 | 1.659 | 24.1 |
| 64.8 | 1.439 | 25.6 |
| 65.0 | 1.436 | 12.7 |
| 82.1 | 1.174 | 11.7 |

=====

(9)
Calculated powder diffraction line list of Na3ZnHg12 for λ = 1.5418 Å (Cu Kα), from a crystal structure in Alexandria, relaxed with GGA-PBE.

Crystal structure
```
Na3ZnHg12
1.0
4.757 0.000 0.000
0.000 4.757 0.000
0.000 0.000 18.152
Na Zn Hg
3 1 12
Cartesian
0.000 0.000 0.000
0.000 0.000 4.672
0.000 0.000 13.480
0.000 0.000 9.076
0.000 2.378 2.318
0.000 2.378 6.922
0.000 2.378 11.230
0.000 2.378 15.834
2.378 0.000 2.318
2.378 0.000 6.922
2.378 0.000 11.230
2.378 0.000 15.834
2.378 2.378 0.000
2.378 2.378 4.622
2.378 2.378 9.076
2.378 2.378 13.530
```

Top 10 peaks for 2θ from 10° to 90°, by angle:
| 2theta | d [Å] | Rel. int. |
| --- | --- | --- |
| 18.7 | 4.757 | 13.2 |
| 27.2 | 3.283 | 10.9 |
| 33.2 | 2.702 | 100.0 |
| 37.8 | 2.378 | 35.7 |
| 39.7 | 2.269 | 14.8 |
| 54.6 | 1.682 | 12.5 |
| 56.0 | 1.642 | 22.0 |
| 65.4 | 1.428 | 28.9 |
| 67.9 | 1.380 | 11.7 |
| 69.6 | 1.351 | 11.6 |

=====

(10)
Calculated powder diffraction line list of Yb2C3N6 for λ = 1.5418 Å (Cu Kα), from a crystal structure in Alexandria, relaxed with GGA-PBE.

Crystal structure
```
Yb2C3N6
1.0
3.208 1.852 10.149
-3.208 1.852 10.149
0.000 -3.704 10.149
Yb C N
4 6 12
Cartesian
0.000 0.000 4.995
0.000 0.000 10.229
0.000 0.000 20.219
0.000 0.000 25.453
-2.255 -0.202 12.687
-0.953 -2.054 17.761
1.302 -1.852 12.687
-1.302 1.852 17.761
0.953 2.054 12.687
2.255 0.202 17.761
-1.944 -0.401 11.512
-2.583 -0.032 13.861
-1.264 -2.253 16.587
-0.624 -1.884 18.936
1.320 -1.483 11.512
1.320 -2.221 13.861
-1.320 2.221 16.587
-1.320 1.483 18.936
0.624 1.884 11.512
1.264 2.253 13.861
2.583 0.032 16.587
1.944 0.401 18.936
```

Top 10 peaks for 2θ from 10° to 90°, by angle:
| 2theta | d [Å] | Rel. int. |
| --- | --- | --- |
| 17.0 | 5.219 | 67.0 |
| 17.5 | 5.075 | 51.0 |
| 19.8 | 4.488 | 50.4 |
| 27.8 | 3.208 | 49.6 |
| 33.0 | 2.711 | 100.0 |
| 45.6 | 1.990 | 39.5 |
| 49.2 | 1.852 | 20.4 |
| 52.6 | 1.740 | 20.7 |
| 62.0 | 1.496 | 27.4 |
| 81.6 | 1.179 | 19.2 |

=====

(11)
Calculated powder diffraction line list of YTi2O5 for λ = 1.5418 Å (Cu Kα), from a crystal structure in Alexandria, relaxed with GGA-PBE.

Crystal structure
```
YTi2O5
1.0
3.540 0.000 0.000
0.000 11.941 0.000
0.000 0.000 4.960
Y Ti O
2 4 10
Cartesian
0.885 2.985 0.606
2.655 8.956 4.354
0.885 7.102 2.092
0.885 10.809 2.092
2.655 1.132 2.868
2.655 4.839 2.868
0.885 0.955 2.050
0.885 5.015 2.050
0.885 7.608 0.383
0.885 8.956 2.861
0.885 10.303 0.383
2.655 1.638 4.577
2.655 2.985 2.099
2.655 4.333 4.577
2.655 6.926 2.910
2.655 10.986 2.910
```

Top 10 peaks for 2θ from 10° to 90°, by angle:
| 2theta | d [Å] | Rel. int. |
| --- | --- | --- |
| 14.8 | 5.971 | 47.7 |
| 23.3 | 3.815 | 100.0 |
| 28.8 | 3.104 | 62.5 |
| 31.0 | 2.881 | 81.6 |
| 32.0 | 2.801 | 68.9 |
| 33.9 | 2.645 | 81.4 |
| 45.6 | 1.990 | 32.7 |
| 47.3 | 1.923 | 61.2 |
| 51.6 | 1.770 | 33.9 |
| 54.7 | 1.679 | 37.1 |

=====

(12)
Calculated powder diffraction line list of Na2PuCu2O6 for λ = 1.5418 Å (Cu Kα), from a crystal structure in Alexandria, relaxed with GGA-PBE.

Crystal structure
```
Na2PuCu2O6
1.0
5.319 0.000 0.000
-2.659 4.606 0.000
0.000 0.000 5.646
Na Pu Cu O
2 1 2 6
Cartesian
0.000 3.071 0.000
2.659 1.535 0.000
0.000 0.000 2.823
0.000 3.071 2.823
2.659 1.535 2.823
-0.880 1.524 3.968
-1.779 3.082 1.678
1.760 0.000 3.968
0.880 1.524 1.678
3.559 0.000 1.678
1.779 3.082 3.968
```

Top 10 peaks for 2θ from 10° to 90°, by angle:
| 2theta | d [Å] | Rel. int. |
| --- | --- | --- |
| 15.7 | 5.646 | 100.0 |
| 19.3 | 4.606 | 28.0 |
| 24.9 | 3.569 | 56.9 |
| 31.7 | 2.823 | 16.8 |
| 33.7 | 2.659 | 52.1 |
| 37.4 | 2.406 | 69.6 |
| 46.9 | 1.936 | 63.3 |
| 60.3 | 1.536 | 35.7 |
| 62.7 | 1.482 | 21.0 |
| 76.4 | 1.247 | 17.1 |

=====

Question: Number 11 is which compound?
Answer: YTi2O5